Li5B8C8: computed X-ray powder pattern (Cu Kα, 1.54184 Å), based on the GGA-PBE geometry in Alexandria.
No peak broadening, texture or thermal motion is included.

Cell and atoms:
```
Li5B8C8
1.0
4.7217 -2.7125 0.0000
4.7217 2.7125 0.0000
-4.7184 0.0000 7.1830
Li B C
5 8 8
Direct
0.0000 0.0000 0.0000 Li
0.2509 0.2509 0.5008 Li
0.2520 0.7480 0.5000 Li
0.7480 0.2520 0.5000 Li
0.7491 0.7491 0.4992 Li
0.0396 0.0396 0.7437 B
0.0411 0.5377 0.7457 B
0.4550 0.4550 0.2437 B
0.4623 0.9589 0.2543 B
0.5377 0.0411 0.7457 B
0.5450 0.5450 0.7563 B
0.9589 0.4623 0.2543 B
0.9604 0.9604 0.2563 B
0.1997 0.1997 0.7339 C
0.2043 0.7046 0.7439 C
0.2942 0.2942 0.2542 C
0.2954 0.7957 0.2561 C
0.7046 0.2043 0.7439 C
0.7058 0.7058 0.7458 C
0.7957 0.2954 0.2561 C
0.8003 0.8003 0.2661 C
```

Principal peaks in the range 10 to 80 degrees two-theta, by angle:
12.32 deg, d = 7.183 Å, rel. 15; 24.79 deg, d = 3.592 Å, rel. 100; 38.27 deg, d = 2.352 Å, rel. 7; 45.99 deg, d = 1.973 Å, rel. 6; 46.02 deg, d = 1.972 Å, rel. 8; 46.13 deg, d = 1.968 Å, rel. 30; 50.85 deg, d = 1.796 Å, rel. 15; 68.99 deg, d = 1.361 Å, rel. 10; 69.28 deg, d = 1.356 Å, rel. 5; 74.55 deg, d = 1.273 Å, rel. 7

***

Li7B8C8: computed X-ray powder pattern (Cu Kα, 1.54184 Å), based on the GGA-PBE geometry in Alexandria.
No peak broadening, texture or thermal motion is included.

Cell and atoms:
```
Li7B8C8
1.0
14.4525 -1.3712 0.0000
14.4525 1.3712 0.0000
-0.7251 0.0000 4.6731
Li B C
7 8 8
Direct
0.0000 0.0000 0.0000 Li
0.1249 0.1249 0.1356 Li
0.2500 0.2500 0.2500 Li
0.3753 0.3753 0.3661 Li
0.6247 0.6247 0.6339 Li
0.7500 0.7500 0.7500 Li
0.8751 0.8751 0.8644 Li
0.0620 0.0620 0.4114 B
0.1880 0.1880 0.8587 B
0.3119 0.3119 0.6412 B
0.4353 0.4353 0.0906 B
0.5647 0.5647 0.9094 B
0.6881 0.6881 0.3588 B
0.8120 0.8120 0.1413 B
0.9380 0.9380 0.5886 B
0.0660 0.0660 0.7478 C
0.1883 0.1883 0.5252 C
0.3117 0.3117 0.9747 C
0.4367 0.4367 0.7556 C
0.5633 0.5633 0.2444 C
0.6883 0.6883 0.0253 C
0.8117 0.8117 0.4748 C
0.9340 0.9340 0.2522 C
```

Principal peaks in the range 10 to 80 degrees two-theta, by angle:
24.94 deg, d = 3.570 Å, rel. 100; 37.93 deg, d = 2.372 Å, rel. 5; 45.81 deg, d = 1.981 Å, rel. 32; 46.05 deg, d = 1.971 Å, rel. 22; 46.27 deg, d = 1.962 Å, rel. 11; 51.17 deg, d = 1.785 Å, rel. 20; 68.42 deg, d = 1.371 Å, rel. 7; 68.68 deg, d = 1.367 Å, rel. 14; 74.06 deg, d = 1.280 Å, rel. 6; 74.58 deg, d = 1.272 Å, rel. 3

***

Li5B8C8: computed X-ray powder pattern (Cu Kα, 1.54184 Å), based on the GGA-PBE geometry in Alexandria.
No peak broadening, texture or thermal motion is included.

Cell and atoms:
```
Li5B8C8
1.0
7.2179 -2.7234 0.0000
7.2179 2.7234 0.0000
-0.0577 0.0000 4.6864
Li B C
5 8 8
Direct
0.0000 0.0000 0.0000 Li
0.2495 0.2495 0.9992 Li
0.2572 0.7428 0.5000 Li
0.7428 0.2572 0.5000 Li
0.7505 0.7505 0.0008 Li
0.1274 0.1274 0.3410 B
0.1299 0.6270 0.1620 B
0.3725 0.3725 0.6614 B
0.3730 0.8701 0.8380 B
0.6270 0.1299 0.1620 B
0.6275 0.6275 0.3386 B
0.8701 0.3730 0.8380 B
0.8726 0.8726 0.6590 B
0.1191 0.1191 0.6776 C
0.1229 0.6242 0.8243 C
0.3758 0.8771 0.1757 C
0.3780 0.3780 0.3258 C
0.6220 0.6220 0.6742 C
0.6242 0.1229 0.8243 C
0.8771 0.3758 0.1757 C
0.8809 0.8809 0.3224 C
```

Principal peaks in the range 10 to 80 degrees two-theta, by angle:
24.67 deg, d = 3.609 Å, rel. 100; 38.22 deg, d = 2.355 Å, rel. 6; 38.42 deg, d = 2.343 Å, rel. 4; 45.90 deg, d = 1.977 Å, rel. 22; 46.16 deg, d = 1.966 Å, rel. 14; 46.47 deg, d = 1.954 Å, rel. 7; 50.59 deg, d = 1.804 Å, rel. 15; 68.96 deg, d = 1.362 Å, rel. 5; 69.35 deg, d = 1.355 Å, rel. 10; 74.51 deg, d = 1.274 Å, rel. 6

***

Which formula does entry 2 have?
Li7B8C8

***

Number 3 is which compound?
Li5B8C8